Entry 1:
Simulated X-ray powder pattern of Pm4Cd3Sn for Cu Kα X-rays, from a crystal structure in Alexandria, relaxed with GGA-PBE.

Structural model:
```
data_Pm4Cd3Sn
_space_group_name_H-M_alt 'P 1'
_space_group_IT_number 1
_cell_length_a 3.8207
_cell_length_b 5.4133
_cell_length_c 10.9241
_cell_angle_alpha 90.00
_cell_angle_beta 90.00
_cell_angle_gamma 90.00
loop_
_space_group_symop_operation_xyz
'x,y,z'
loop_
_atom_site_label
_atom_site_fract_x
_atom_site_fract_y
_atom_site_fract_z
Pm1 0.0000 0.0000 0.0000
Pm2 0.0000 0.0000 0.5000
Pm3 0.0000 0.5000 0.2488
Pm4 0.0000 0.5000 0.7512
Cd1 0.5000 0.0000 0.2585
Cd2 0.5000 0.0000 0.7415
Cd3 0.5000 0.5000 0.5000
Sn1 0.5000 0.5000 0.0000
```

Peak list (10 most intense, 2θ = 10–90°, by intensity)
| two_theta | Rel. int. |
| --- | --- |
| 33.06 | 100.0 |
| 59.06 | 22.3 |
| 32.79 | 20.3 |
| 58.71 | 14.9 |
| 47.28 | 14.5 |
| 69.35 | 9.1 |
| 59.20 | 7.4 |
| 47.60 | 7.2 |
| 79.24 | 6.4 |
| 78.76 | 6.3 |

***

Entry 2:
Simulated X-ray powder pattern of Be17CuRh for Cu Kα X-rays, from a crystal structure in Alexandria, relaxed with GGA-PBE.

Structural model:
```
data_Be17CuRh
_space_group_name_H-M_alt 'P 1'
_space_group_IT_number 1
_cell_length_a 5.4961
_cell_length_b 5.4961
_cell_length_c 5.4961
_cell_angle_alpha 81.60
_cell_angle_beta 81.60
_cell_angle_gamma 81.60
loop_
_space_group_symop_operation_xyz
'x,y,z'
loop_
_atom_site_label
_atom_site_fract_x
_atom_site_fract_y
_atom_site_fract_z
Be1 0.0002 0.4999 0.4999
Be2 0.0583 0.0583 0.0583
Be3 0.1575 0.4650 0.8498
Be4 0.1575 0.8498 0.4650
Be5 0.1597 0.1597 0.6584
Be6 0.1597 0.6584 0.1597
Be7 0.2561 0.2561 0.2561
Be8 0.3247 0.8106 0.8106
Be9 0.4650 0.1575 0.8498
Be10 0.4650 0.8498 0.1575
Be11 0.4999 0.0002 0.4999
Be12 0.4999 0.4999 0.0002
Be13 0.6584 0.1597 0.1597
Be14 0.8106 0.3247 0.8106
Be15 0.8106 0.8106 0.3247
Be16 0.8498 0.1575 0.4650
Be17 0.8498 0.4650 0.1575
Cu1 0.8236 0.8236 0.8236
Rh1 0.4832 0.4832 0.4832
```

Peak list (10 most intense, 2θ = 10–90°, by intensity)
| two_theta | Rel. int. |
| --- | --- |
| 35.27 | 100.0 |
| 24.79 | 94.3 |
| 50.81 | 85.3 |
| 16.44 | 66.2 |
| 21.77 | 49.3 |
| 43.65 | 37.4 |
| 24.68 | 32.9 |
| 74.72 | 21.2 |
| 41.90 | 21.0 |
| 44.35 | 20.2 |

***

Entry 3:
Simulated X-ray powder pattern of La3Hg5Pb for Cu Kα X-rays, from a crystal structure in Alexandria, relaxed with GGA-PBE.

Structural model:
```
data_La3Hg5Pb
_space_group_name_H-M_alt 'P 1'
_space_group_IT_number 1
_cell_length_a 9.3512
_cell_length_b 9.3512
_cell_length_c 6.7131
_cell_angle_alpha 90.00
_cell_angle_beta 90.00
_cell_angle_gamma 120.00
loop_
_space_group_symop_operation_xyz
'x,y,z'
loop_
_atom_site_label
_atom_site_fract_x
_atom_site_fract_y
_atom_site_fract_z
La1 0.0000 0.3335 0.2500
La2 0.0000 0.6665 0.7500
La3 0.3335 0.0000 0.2500
La4 0.3335 0.3335 0.7500
La5 0.6665 0.0000 0.7500
La6 0.6665 0.6665 0.2500
Hg1 0.0000 0.3384 0.7500
Hg2 0.0000 0.6616 0.2500
Hg3 0.3333 0.6667 0.0000
Hg4 0.3333 0.6667 0.5000
Hg5 0.3384 0.0000 0.7500
Hg6 0.3384 0.3384 0.2500
Hg7 0.6616 0.0000 0.2500
Hg8 0.6616 0.6616 0.7500
Hg9 0.6667 0.3333 0.0000
Hg10 0.6667 0.3333 0.5000
Pb1 0.0000 0.0000 0.0000
Pb2 0.0000 0.0000 0.5000
```

Peak list (10 most intense, 2θ = 10–90°, by intensity)
| two_theta | Rel. int. |
| --- | --- |
| 33.19 | 100.0 |
| 32.85 | 97.2 |
| 59.08 | 36.9 |
| 47.39 | 35.5 |
| 65.49 | 28.8 |
| 59.29 | 19.2 |
| 79.18 | 16.2 |
| 84.91 | 14.6 |
| 69.66 | 12.0 |
| 54.69 | 8.2 |